Computed XRD peak list of Li3Sn3Ge for Cu Kα X-rays, from a crystal structure in Alexandria, relaxed with GGA-PBE.
Peak positions follow from Bragg's law for the DFT cell and can differ from measured ones.

```
Li3Sn3Ge
1.0
8.885 0.000 0.000
-4.443 7.695 0.000
0.000 0.000 4.407
Li Sn Ge
6 6 2
direct
0.119 0.559 0.250
0.441 0.559 0.250
0.441 0.881 0.250
0.559 0.119 0.750
0.559 0.441 0.750
0.881 0.441 0.750
0.148 0.296 0.750
0.148 0.852 0.750
0.296 0.148 0.250
0.704 0.852 0.750
0.852 0.148 0.250
0.852 0.704 0.250
0.333 0.667 0.750
0.667 0.333 0.250
```

Largest 6 diffraction maxima, by angle, 15° ≤ 2θ ≤ 90°:
h k l, two_theta, d [Å], I/Imax
2 0 0, 23.1, 3.847, 66
1 0 1, 23.3, 3.824, 60
2 0 1, 30.9, 2.898, 88
2 1 1, 37.0, 2.427, 100
2 2 0, 40.6, 2.220, 72
2 2 2, 59.1, 1.564, 38